Record 1
Structure and calculated powder XRD pattern of PrScTe3 (the GGA-PBE geometry in Alexandria; a wavelength of 1.5418 Å).

Most intense lines, 10° ≤ 2θ ≤ 80°, in order of falling intensity:
2θ (°)	d [Å]	Rel. int.
30.78	2.905	1000
28.76	3.104	772
29.02	3.077	617
30.90	2.894	423
41.62	2.170	369
35.97	2.496	365

Cell and atoms:
```
PrScTe3
1.0
9.107 0.000 0.000
0.000 4.339 0.000
0.000 0.000 15.261
Pr Sc Te
4 4 12
direct
0.095 0.250 0.173
0.405 0.750 0.673
0.595 0.250 0.327
0.905 0.750 0.827
0.155 0.750 0.453
0.345 0.250 0.953
0.655 0.750 0.047
0.845 0.250 0.547
0.024 0.750 0.621
0.154 0.750 0.013
0.187 0.250 0.789
0.313 0.750 0.289
0.346 0.250 0.513
0.476 0.250 0.121
0.524 0.750 0.879
0.654 0.750 0.487
0.687 0.250 0.711
0.813 0.750 0.211
0.846 0.250 0.987
0.976 0.250 0.379
```

Record 2
Structure and calculated powder XRD pattern of Li3DyTl4 (the GGA-PBE geometry in Alexandria; a wavelength of 1.5418 Å).

Most intense lines, 10° ≤ 2θ ≤ 80°, in order of falling intensity:
2θ (°)	d [Å]	Rel. int.
24.91	3.575	1000
35.85	2.505	999
35.16	2.552	976
63.99	1.455	352
51.10	1.788	343
44.15	2.051	225

Cell and atoms:
```
Li3DyTl4
1.0
2.505 1.446 8.416
-2.505 1.446 8.416
0.000 -2.892 8.416
Li Dy Tl
3 1 4
direct
0.000 0.000 0.000
0.250 0.250 0.250
0.750 0.750 0.750
0.500 0.500 0.500
0.118 0.118 0.118
0.371 0.371 0.371
0.629 0.629 0.629
0.882 0.882 0.882
```